This entry pairs a crystal structure of Li3NiP2O8 with its calculated XRD peak list. Radiation: Cu Kα (λ = 1.5418 Å). Structure: a structure optimized by DFT (PBE+U).
Neutral-atom scattering factors, no anomalous dispersion.

Structure:
Cell: 4.945 4.945 6.244 Å, 90.09 90.09 66.51°
Fractional coordinates of all 14 atoms:
Li 0.000 0.000 0.000
Li 0.327 0.327 0.233
Li 0.673 0.673 0.767
Ni 0.000 0.000 0.500
P 0.356 0.356 0.736
P 0.644 0.644 0.264
O 0.238 0.700 0.738
O 0.247 0.247 0.533
O 0.250 0.250 0.939
O 0.300 0.762 0.262
O 0.700 0.238 0.738
O 0.750 0.750 0.061
O 0.753 0.753 0.467
O 0.762 0.300 0.262

Most intense lines, 5 to 70 degrees two-theta, low angle first:
14.2°, I = 61.8
24.2°, I = 100.0
25.9°, I = 59.5
33.0°, I = 31.7
34.9°, I = 75.9
36.1°, I = 10.9
36.6°, I = 37.7
39.4°, I = 14.6
44.2°, I = 16.4
49.7°, I = 16.6
59.2°, I = 11.4
64.0°, I = 35.0